Diffraction record for BaSrMn2O6. The X-ray powder pattern is theoretical, not measured: it uses a crystal structure in Alexandria, relaxed with PBE+U and Cu Kα (λ = 1.5418 Å).

The 10 most intense peaks (2θ from 15° to 90°), sorted by position:
d 3.373, 26.43°, intensity 76, (1 0 2)
d 2.829, 31.63°, intensity 100, (1 1 0)
d 2.620, 34.23°, intensity 36, (1 0 3)
d 2.167, 41.67°, intensity 58, (2 0 2)
d 2.100, 43.07°, intensity 15, (1 0 4)
d 1.922, 47.29°, intensity 27, (2 0 3)
d 1.720, 53.24°, intensity 18, (2 1 2)
d 1.633, 56.33°, intensity 19, (3 0 0)
d 1.590, 58.02°, intensity 17, (2 1 3)
d 1.414, 66.06°, intensity 20, (2 2 0)

Atomic structure:
```
data_BaSrMn2O6
_space_group_name_H-M_alt 'P 63/m m c'
_space_group_IT_number 194
_space_group_name_Hall '-P 6c 2c'
_cell_length_a 5.6575
_cell_length_b 5.6575
_cell_length_c 9.2996
_cell_angle_alpha 90.00
_cell_angle_beta 90.00
_cell_angle_gamma 120.00
loop_
_atom_site_label
_atom_site_type_symbol
_atom_site_fract_x
_atom_site_fract_y
_atom_site_fract_z
Ba1 Ba 0.0000 0.0000 0.0000
Sr1 Sr 0.3333 0.6667 0.2500
Mn1 Mn 0.3333 0.6667 0.6119
O1 O 0.0000 0.5000 0.0000
O2 O 0.1850 0.3699 0.7500
```